[1]
Structure and computed powder diffractogram of Rb2NiAuF6 (a cell relaxed with PBE+U; CuKα).

The 12 most intense peaks (10° ≤ 2θ ≤ 90°), in order of falling intensity:
- 3.049 Å, I 100.0
- 1.761 Å, I 40.0
- 2.156 Å, I 35.1
- 1.153 Å, I 22.0
- 1.525 Å, I 21.5
- 1.364 Å, I 18.7
- 4.980 Å, I 16.7
- 2.601 Å, I 15.5
- 4.312 Å, I 12.7
- 1.979 Å, I 9.4
- 1.245 Å, I 7.0
- 1.929 Å, I 5.3

Structure:
Lattice parameters (Å, degrees): 6.099 6.099 6.099 60.00 60.00 60.00
Fractional coordinates of all 10 atoms:
Rb 0.250 0.250 0.250
Rb 0.750 0.750 0.750
Ni 0.000 0.000 0.000
Au 0.500 0.500 0.500
F 0.228 0.228 0.772
F 0.228 0.772 0.228
F 0.228 0.772 0.772
F 0.772 0.228 0.228
F 0.772 0.228 0.772
F 0.772 0.772 0.228

---

[2]
Structure and computed powder diffractogram of MnAuO2 (a cell relaxed with PBE+U; CuKα).

The 12 most intense peaks (10° ≤ 2θ ≤ 90°), in order of falling intensity:
- 2.625 Å, I 100.0
- 2.355 Å, I 54.6
- 6.154 Å, I 52.4
- 2.709 Å, I 45.2
- 3.077 Å, I 42.6
- 1.765 Å, I 34.6
- 1.531 Å, I 31.4
- 1.406 Å, I 24.9
- 1.581 Å, I 24.8
- 1.900 Å, I 13.1
- 1.354 Å, I 12.5
- 1.103 Å, I 12.0

Structure:
Lattice parameters (Å, degrees): 6.419 6.419 6.419 28.52 28.52 28.52
Fractional coordinates of all 4 atoms:
Mn 0.000 0.000 0.000
Au 0.500 0.500 0.500
O 0.388 0.388 0.388
O 0.612 0.612 0.612

---

[3]
Structure and computed powder diffractogram of MnAuO2 (a cell relaxed with PBE+U; CuKα).

The 12 most intense peaks (10° ≤ 2θ ≤ 90°), in order of falling intensity:
- 2.797 Å, I 100.0
- 6.197 Å, I 93.5
- 3.098 Å, I 76.3
- 2.334 Å, I 62.9
- 2.532 Å, I 52.0
- 2.519 Å, I 51.3
- 2.365 Å, I 32.0
- 1.546 Å, I 25.8
- 2.639 Å, I 25.2
- 2.629 Å, I 24.9
- 1.871 Å, I 24.1
- 1.722 Å, I 18.9

Structure:
Lattice parameters (Å, degrees): 3.244 5.310 6.369 82.99 78.08 84.95
Fractional coordinates of all 8 atoms:
Mn 0.000 0.000 0.000
Mn 0.500 0.500 0.000
Au 0.247 0.750 0.500
Au 0.753 0.250 0.500
O 0.099 0.700 0.836
O 0.399 0.800 0.165
O 0.601 0.200 0.835
O 0.901 0.300 0.164